(1)
# NaH8Pd6
Simulated powder XRD pattern, Cu Ka. Input: a structure optimized by DFT (GGA-PBE).
Kinematic intensities with the Lorentz-polarization factor, no thermal factor.

Principal peaks in the range 2θ from 15° to 90°, in order of falling intensity:
36.8°, I = 100
47.0°, I = 50
34.7°, I = 44
18.8°, I = 38
76.2°, I = 26
43.4°, I = 25

Atomic structure:
```
NaH8Pd6
1.0
2.852 1.647 5.175
-2.852 1.647 5.175
0.000 -3.294 5.175
Na H Pd
1 8 6
direct
0.000 0.000 0.000 Na
0.188 0.716 0.716 H
0.284 0.284 0.812 H
0.284 0.812 0.284 H
0.311 0.311 0.311 H
0.689 0.689 0.689 H
0.716 0.188 0.716 H
0.716 0.716 0.188 H
0.812 0.284 0.284 H
0.081 0.592 0.592 Pd
0.408 0.408 0.919 Pd
0.408 0.919 0.408 Pd
0.592 0.081 0.592 Pd
0.592 0.592 0.081 Pd
0.919 0.408 0.408 Pd
```



(2)
# Na2H4Pd3
Simulated powder XRD pattern, Cu Ka. Input: a structure optimized by DFT (GGA-PBE).
Kinematic intensities with the Lorentz-polarization factor, no thermal factor.

Principal peaks in the range 2θ from 15° to 90°, in order of falling intensity:
17.5°, I = 100
39.5°, I = 44
23.5°, I = 44
36.7°, I = 38
43.5°, I = 37
37.7°, I = 25

Atomic structure:
```
Na2H4Pd3
1.0
0.000 4.771 10.152
2.595 0.000 10.152
2.595 4.771 0.000
Na H Pd
4 8 6
direct
0.043 0.043 0.207 Na
0.207 0.207 0.043 Na
0.793 0.793 0.957 Na
0.957 0.957 0.793 Na
0.194 0.440 0.266 H
0.266 0.600 0.194 H
0.400 0.734 0.560 H
0.440 0.194 0.600 H
0.560 0.806 0.400 H
0.600 0.266 0.440 H
0.734 0.400 0.806 H
0.806 0.560 0.734 H
0.106 0.106 0.644 Pd
0.356 0.356 0.894 Pd
0.375 0.375 0.375 Pd
0.625 0.625 0.625 Pd
0.644 0.644 0.106 Pd
0.894 0.894 0.356 Pd
```



(3)
# Na2H4Pd
Simulated powder XRD pattern, Cu Ka. Input: a structure optimized by DFT (GGA-PBE).
Kinematic intensities with the Lorentz-polarization factor, no thermal factor.

Principal peaks in the range 2θ from 15° to 90°, in order of falling intensity:
35.4°, I = 100
33.0°, I = 64
28.9°, I = 55
39.2°, I = 45
25.1°, I = 38
45.3°, I = 22

Atomic structure:
```
Na2H4Pd
1.0
3.725 0.000 0.000
0.000 11.877 0.000
0.000 0.000 3.625
Na H Pd
4 8 2
direct
0.000 0.132 0.000 Na
0.000 0.868 0.000 Na
0.500 0.368 0.000 Na
0.500 0.632 0.000 Na
0.000 0.000 0.500 H
0.000 0.354 0.500 H
0.000 0.500 0.000 H
0.000 0.646 0.500 H
0.500 0.000 0.000 H
0.500 0.146 0.500 H
0.500 0.500 0.500 H
0.500 0.854 0.500 H
0.000 0.500 0.500 Pd
0.500 0.000 0.500 Pd
```



(4)
# NaHPd3
Simulated powder XRD pattern, Cu Ka. Input: a structure optimized by DFT (GGA-PBE).
Kinematic intensities with the Lorentz-polarization factor, no thermal factor.

Principal peaks in the range 2θ from 15° to 90°, in order of falling intensity:
40.1°, I = 100
38.0°, I = 73
35.4°, I = 45
75.9°, I = 35
42.7°, I = 28
62.9°, I = 27

Atomic structure:
```
NaHPd3
1.0
2.955 0.000 0.000
-1.477 2.559 0.000
0.000 0.000 18.921
Na H Pd
2 2 6
direct
0.000 0.000 0.000 Na
0.000 0.000 0.500 Na
0.333 0.667 0.250 H
0.667 0.333 0.750 H
0.000 0.000 0.250 Pd
0.000 0.000 0.750 Pd
0.333 0.667 0.127 Pd
0.333 0.667 0.373 Pd
0.667 0.333 0.627 Pd
0.667 0.333 0.873 Pd
```



(5)
# Na2H8Pd3
Simulated powder XRD pattern, Cu Ka. Input: a structure optimized by DFT (GGA-PBE).
Kinematic intensities with the Lorentz-polarization factor, no thermal factor.

Principal peaks in the range 2θ from 15° to 90°, in order of falling intensity:
18.9°, I = 100
38.3°, I = 64
36.8°, I = 59
36.1°, I = 30
18.2°, I = 23
44.8°, I = 19

Atomic structure:
```
Na2H8Pd3
1.0
5.011 -2.853 0.000
5.011 2.853 0.000
-1.770 0.000 4.725
Na H Pd
2 8 3
direct
0.202 0.202 0.179 Na
0.798 0.798 0.821 Na
0.110 0.110 0.527 H
0.192 0.651 0.132 H
0.349 0.808 0.868 H
0.404 0.404 0.607 H
0.596 0.596 0.393 H
0.651 0.192 0.132 H
0.808 0.349 0.868 H
0.890 0.890 0.473 H
0.250 0.750 0.500 Pd
0.500 0.500 0.000 Pd
0.750 0.250 0.500 Pd
```



(6)
# Na4H4PdPt
Simulated powder XRD pattern, Cu Ka. Input: a structure optimized by DFT (GGA-PBE).
Kinematic intensities with the Lorentz-polarization factor, no thermal factor.

Principal peaks in the range 2θ from 15° to 90°, in order of falling intensity:
34.7°, I = 100
15.9°, I = 93
26.1°, I = 84
35.4°, I = 54
39.0°, I = 40
63.1°, I = 35

Atomic structure:
```
Na4H4PdPt
1.0
3.587 0.000 0.000
0.000 3.587 0.000
0.000 0.000 11.179
Na H Pd Pt
4 4 1 1
direct
0.000 0.000 0.135 Na
0.000 0.000 0.865 Na
0.500 0.500 0.359 Na
0.500 0.500 0.641 Na
0.000 0.000 0.348 H
0.000 0.000 0.652 H
0.500 0.500 0.150 H
0.500 0.500 0.850 H
0.000 0.000 0.500 Pd
0.500 0.500 0.000 Pt
```



(7)
# NaH8PdPt2
Simulated powder XRD pattern, Cu Ka. Input: a structure optimized by DFT (GGA-PBE).
Kinematic intensities with the Lorentz-polarization factor, no thermal factor.

Principal peaks in the range 2θ from 15° to 90°, in order of falling intensity:
16.1°, I = 100
36.7°, I = 89
30.2°, I = 67
40.3°, I = 59
43.9°, I = 43
23.6°, I = 43

Atomic structure:
```
NaH8PdPt2
1.0
2.451 1.415 5.501
-2.451 1.415 5.501
0.000 -2.830 5.501
Na H Pd Pt
1 8 1 2
direct
0.000 0.000 0.000 Na
0.121 0.432 0.777 H
0.223 0.879 0.568 H
0.308 0.308 0.308 H
0.432 0.777 0.121 H
0.568 0.223 0.879 H
0.692 0.692 0.692 H
0.777 0.121 0.432 H
0.879 0.568 0.223 H
0.500 0.500 0.500 Pd
0.211 0.211 0.211 Pt
0.789 0.789 0.789 Pt
```



(8)
# Na4H8PdPt
Simulated powder XRD pattern, Cu Ka. Input: a structure optimized by DFT (GGA-PBE).
Kinematic intensities with the Lorentz-polarization factor, no thermal factor.

Principal peaks in the range 2θ from 15° to 90°, in order of falling intensity:
21.7°, I = 100
36.5°, I = 46
40.9°, I = 38
34.2°, I = 26
62.8°, I = 18
24.0°, I = 17

Atomic structure:
```
Na4H8PdPt
1.0
4.209 -2.621 0.000
4.209 2.621 0.000
-1.890 0.000 8.200
Na H Pd Pt
4 8 1 1
direct
0.123 0.123 0.375 Na
0.373 0.373 0.125 Na
0.627 0.627 0.875 Na
0.877 0.877 0.625 Na
0.113 0.664 0.888 H
0.164 0.611 0.389 H
0.336 0.887 0.112 H
0.389 0.836 0.611 H
0.611 0.164 0.389 H
0.664 0.113 0.888 H
0.836 0.389 0.611 H
0.887 0.336 0.112 H
0.500 0.500 0.500 Pd
0.000 0.000 0.000 Pt
```



(9)
# NaSrH6Pd
Simulated powder XRD pattern, Cu Ka. Input: a structure optimized by DFT (GGA-PBE).
Kinematic intensities with the Lorentz-polarization factor, no thermal factor.

Principal peaks in the range 2θ from 15° to 90°, in order of falling intensity:
28.3°, I = 100
35.6°, I = 53
45.0°, I = 31
20.3°, I = 28
46.1°, I = 27
59.6°, I = 24

Atomic structure:
```
NaSrH6Pd
1.0
5.041 0.000 0.000
-2.521 4.366 0.000
0.000 0.000 4.544
Na Sr H Pd
1 1 6 1
direct
0.000 0.000 0.000 Na
0.333 0.667 0.513 Sr
0.346 0.173 0.422 H
0.502 0.005 0.001 H
0.502 0.498 0.001 H
0.827 0.173 0.422 H
0.827 0.654 0.422 H
0.995 0.498 0.001 H
0.667 0.333 0.204 Pd
```



(10)
# Na2H4Pt
Simulated powder XRD pattern, Cu Ka. Input: a structure optimized by DFT (GGA-PBE).
Kinematic intensities with the Lorentz-polarization factor, no thermal factor.

Principal peaks in the range 2θ from 15° to 90°, in order of falling intensity:
15.1°, I = 100
35.8°, I = 88
23.8°, I = 40
26.2°, I = 23
40.3°, I = 18
66.1°, I = 15

Atomic structure:
```
Na2H4Pt
1.0
3.714 -4.769 0.000
3.714 4.769 0.000
0.000 0.000 4.841
Na H Pt
4 8 2
direct
0.103 0.387 0.250 Na
0.387 0.103 0.750 Na
0.613 0.897 0.250 Na
0.897 0.613 0.750 Na
0.126 0.322 0.750 H
0.229 0.771 0.012 H
0.229 0.771 0.488 H
0.322 0.126 0.250 H
0.678 0.874 0.750 H
0.771 0.229 0.512 H
0.771 0.229 0.988 H
0.874 0.678 0.250 H
0.104 0.896 0.250 Pt
0.896 0.104 0.750 Pt
```



(11)
# Na8H8Pt3
Simulated powder XRD pattern, Cu Ka. Input: a structure optimized by DFT (GGA-PBE).
Kinematic intensities with the Lorentz-polarization factor, no thermal factor.

Principal peaks in the range 2θ from 15° to 90°, in order of falling intensity:
22.4°, I = 100
24.3°, I = 72
19.6°, I = 72
20.2°, I = 66
34.7°, I = 54
35.5°, I = 52

Atomic structure:
```
Na8H8Pt3
1.0
9.188 -2.388 0.000
9.188 2.388 0.000
-2.538 0.000 6.664
Na H Pt
8 8 3
direct
0.025 0.025 0.271 Na
0.214 0.214 0.802 Na
0.336 0.336 0.548 Na
0.393 0.393 0.074 Na
0.607 0.607 0.926 Na
0.664 0.664 0.452 Na
0.786 0.786 0.198 Na
0.975 0.975 0.729 Na
0.118 0.118 0.940 H
0.191 0.191 0.432 H
0.270 0.270 0.184 H
0.479 0.479 0.709 H
0.521 0.521 0.291 H
0.730 0.730 0.816 H
0.809 0.809 0.568 H
0.882 0.882 0.060 H
0.174 0.174 0.185 Pt
0.500 0.500 0.500 Pt
0.826 0.826 0.815 Pt
```



(12)
# NaH4Pt2
Simulated powder XRD pattern, Cu Ka. Input: a structure optimized by DFT (GGA-PBE).
Kinematic intensities with the Lorentz-polarization factor, no thermal factor.

Principal peaks in the range 2θ from 15° to 90°, in order of falling intensity:
18.4°, I = 100
37.2°, I = 80
34.9°, I = 29
35.9°, I = 27
36.0°, I = 27
47.1°, I = 17

Atomic structure:
```
NaH4Pt2
1.0
0.000 4.138 4.301
4.122 0.000 4.301
4.122 4.138 0.000
Na H Pt
2 8 4
direct
0.125 0.125 0.125 Na
0.875 0.875 0.875 Na
0.272 0.661 0.283 H
0.283 0.283 0.272 H
0.283 0.283 0.661 H
0.339 0.728 0.717 H
0.661 0.272 0.283 H
0.717 0.717 0.339 H
0.717 0.717 0.728 H
0.728 0.339 0.717 H
0.000 0.500 0.500 Pt
0.500 0.000 0.500 Pt
0.500 0.500 0.000 Pt
0.500 0.500 0.500 Pt
```



(13)
# NaSrH6Pt
Simulated powder XRD pattern, Cu Ka. Input: a structure optimized by DFT (GGA-PBE).
Kinematic intensities with the Lorentz-polarization factor, no thermal factor.

Principal peaks in the range 2θ from 15° to 90°, in order of falling intensity:
27.3°, I = 100
34.5°, I = 41
19.7°, I = 40
44.5°, I = 27
52.1°, I = 26
57.5°, I = 25

Atomic structure:
```
NaSrH6Pt
1.0
5.204 0.000 0.000
-2.602 4.507 0.000
0.000 0.000 4.755
Na Sr H Pt
1 1 6 1
direct
0.000 0.000 0.000 Na
0.667 0.333 0.500 Sr
0.100 0.404 0.226 H
0.100 0.696 0.774 H
0.304 0.404 0.774 H
0.304 0.900 0.226 H
0.596 0.696 0.226 H
0.596 0.900 0.774 H
0.333 0.667 0.000 Pt
```